# 1
This entry pairs a crystal structure of SrLi6Rh6 with its computed powder XRD pattern. Radiation: λ = 1.5418 Å (Cu Kα). Structure: a DFT-relaxed cell (GGA-PBE, Alexandria).
Kinematic intensities with the Lorentz-polarization factor, no thermal factor.

Main lines, in order of falling intensity (2θ from 15° to 90°):
- d 4.503, intensity 1000
- d 2.243, intensity 656
- d 2.252, intensity 536
- d 2.008, intensity 472
- d 3.178, intensity 454
- d 1.589, intensity 342

Structure:
```
13
Lattice="-2.584 4.502 4.519 2.584 -4.502 4.519 2.584 4.502 -4.519" Properties=species:S:1:pos:R:3 pbc="T T T"
Sr 0.000 0.000 0.000
Li 2.584 0.000 1.842
Li 0.000 3.064 0.000
Li 0.000 0.000 3.213
Li 0.000 0.000 5.826
Li 0.000 5.941 0.000
Li 0.000 4.502 2.678
Rh 1.292 2.251 -2.260
Rh 1.292 -2.251 2.260
Rh 2.584 2.154 0.000
Rh -1.292 2.251 2.260
Rh 1.292 2.251 2.260
Rh 0.000 2.348 4.519
```

---

# 2
This entry pairs a crystal structure of TlCuSbO5 with its computed powder XRD pattern. Radiation: λ = 1.5418 Å (Cu Kα). Structure: a DFT-relaxed cell (GGA-PBE, Alexandria).
Kinematic intensities with the Lorentz-polarization factor, no thermal factor.

Main lines, in order of falling intensity (2θ from 15° to 90°):
- d 3.632, intensity 1000
- d 2.740, intensity 581
- d 2.875, intensity 575
- d 3.054, intensity 506
- d 2.540, intensity 308
- d 2.146, intensity 308

Structure:
```
16
Lattice="3.350 -4.598 0.000 3.350 4.598 0.000 -3.319 0.000 7.367" Properties=species:S:1:pos:R:3 pbc="T T T"
Tl 0.000 0.000 0.000
Tl -1.660 0.000 3.683
Cu 0.861 1.718 5.525
Cu 2.520 -1.718 1.842
Sb 2.520 1.296 1.842
Sb 0.861 -1.296 5.525
O 0.503 1.481 1.680
O 2.520 3.261 1.842
O 0.510 0.248 4.270
O -1.157 -1.481 5.363
O 2.170 -0.248 0.587
O 1.211 0.248 6.780
O 4.538 1.481 2.004
O 2.870 -0.248 3.096
O 0.861 -3.261 5.525
O 2.878 -1.481 5.687
```

---

# 3
This entry pairs a crystal structure of TeSCl2 with its computed powder XRD pattern. Radiation: λ = 1.5418 Å (Cu Kα). Structure: a DFT-relaxed cell (GGA-PBE, Alexandria).
Kinematic intensities with the Lorentz-polarization factor, no thermal factor.

Main lines, in order of falling intensity (2θ from 15° to 90°):
- d 3.570, intensity 1000
- d 5.328, intensity 935
- d 2.290, intensity 401
- d 2.924, intensity 375
- d 2.239, intensity 349
- d 2.939, intensity 303

Structure:
```
16
Lattice="7.048 0.000 0.000 0.000 6.027 0.000 0.000 0.000 11.394" Properties=species:S:1:pos:R:3 pbc="T T T"
Te 1.762 0.000 1.332
Te 1.762 3.014 4.365
Te 5.286 0.000 10.062
Te 5.286 3.014 7.029
S 0.501 1.507 2.848
S 3.023 4.521 2.848
S 4.025 1.507 8.545
S 6.547 4.521 8.545
Cl 0.372 1.367 10.251
Cl 0.372 1.647 6.840
Cl 3.152 4.380 6.840
Cl 3.152 4.661 10.251
Cl 3.896 1.367 1.143
Cl 3.896 1.647 4.554
Cl 6.676 4.380 4.554
Cl 6.676 4.661 1.143
```

---

# 4
This entry pairs a crystal structure of DyCdSnHg with its computed powder XRD pattern. Radiation: λ = 1.5418 Å (Cu Kα). Structure: a DFT-relaxed cell (GGA-PBE, Alexandria).
Kinematic intensities with the Lorentz-polarization factor, no thermal factor.

Main lines, in order of falling intensity (2θ from 15° to 90°):
- d 2.649, intensity 1000
- d 2.432, intensity 197
- d 2.281, intensity 164
- d 1.442, intensity 155
- d 2.188, intensity 146
- d 1.377, intensity 133

Structure:
```
4
Lattice="4.376 0.000 0.000 0.000 4.562 0.000 0.000 0.000 4.863" Properties=species:S:1:pos:R:3 pbc="T T T"
Dy 0.000 0.000 0.000
Cd 0.000 2.281 2.432
Sn 2.188 2.281 0.000
Hg 2.188 0.000 2.432
```

---

# 5
This entry pairs a crystal structure of La2PrAu with its computed powder XRD pattern. Radiation: λ = 1.5418 Å (Cu Kα). Structure: a DFT-relaxed cell (GGA-PBE, Alexandria).
Kinematic intensities with the Lorentz-polarization factor, no thermal factor.

Main lines, in order of falling intensity (2θ from 15° to 90°):
- d 2.876, intensity 1000
- d 2.699, intensity 476
- d 1.590, intensity 364
- d 1.909, intensity 174
- d 1.700, intensity 146
- d 2.318, intensity 103

Structure:
```
4
Lattice="3.817 0.000 0.000 0.000 3.817 0.000 0.000 0.000 8.750" Properties=species:S:1:pos:R:3 pbc="T T T"
La 0.000 0.000 1.824
La 0.000 0.000 6.926
Pr 1.909 1.909 4.375
Au 1.909 1.909 0.000
```

---

# 6
This entry pairs a crystal structure of Dy4YSc with its computed powder XRD pattern. Radiation: λ = 1.5418 Å (Cu Kα). Structure: a DFT-relaxed cell (GGA-PBE, Alexandria).
Kinematic intensities with the Lorentz-polarization factor, no thermal factor.

Main lines, in order of falling intensity (2θ from 15° to 90°):
- d 2.757, intensity 1000
- d 3.525, intensity 482
- d 2.492, intensity 458
- d 4.425, intensity 306
- d 1.485, intensity 300
- d 2.171, intensity 194

Structure:
```
6
Lattice="4.984 0.000 0.000 0.000 4.984 0.000 0.000 0.000 8.849" Properties=species:S:1:pos:R:3 pbc="T T T"
Dy 0.000 2.492 1.875
Dy 0.000 2.492 6.974
Dy 2.492 0.000 1.875
Dy 2.492 0.000 6.974
Y 0.000 0.000 4.425
Sc 2.492 2.492 0.000
```

---

# 7
This entry pairs a crystal structure of Nb2FeSe4 with its computed powder XRD pattern. Radiation: λ = 1.5418 Å (Cu Kα). Structure: a DFT-relaxed cell (GGA-PBE, Alexandria).
Kinematic intensities with the Lorentz-polarization factor, no thermal factor.

Main lines, in order of falling intensity (2θ from 15° to 90°):
- d 2.225, intensity 1000
- d 2.515, intensity 709
- d 1.810, intensity 615
- d 3.042, intensity 537
- d 2.808, intensity 360
- d 1.190, intensity 245

Structure:
```
28
Lattice="7.239 0.000 0.000 -3.619 6.269 0.000 0.000 0.000 12.635" Properties=species:S:1:pos:R:3 pbc="T T T"
Nb 0.000 0.000 3.159
Nb 0.000 0.000 9.477
Nb -1.529 3.297 3.159
Nb 1.529 3.297 3.159
Nb 0.000 5.945 3.159
Nb 3.619 0.324 9.477
Nb 2.090 2.973 9.477
Nb 5.149 2.973 9.477
Fe 0.000 0.000 0.000
Fe 0.000 0.000 6.318
Fe 0.000 4.179 9.477
Fe 3.619 2.090 3.159
Se 0.000 2.091 7.869
Se 0.000 2.091 11.084
Se -1.809 5.224 7.869
Se -1.809 5.224 11.084
Se 0.000 4.179 1.278
Se 0.000 4.179 5.039
Se 1.811 1.046 1.551
Se 1.811 1.046 4.766
Se 1.809 5.224 7.869
Se 1.809 5.224 11.084
Se 3.619 2.090 7.596
Se 3.619 2.090 11.357
Se 5.428 1.046 1.551
Se 5.428 1.046 4.766
Se 3.619 4.178 1.551
Se 3.619 4.178 4.766
```

---

# 8
This entry pairs a crystal structure of Tb6PrNd6 with its computed powder XRD pattern. Radiation: λ = 1.5418 Å (Cu Kα). Structure: a DFT-relaxed cell (GGA-PBE, Alexandria).
Kinematic intensities with the Lorentz-polarization factor, no thermal factor.

Main lines, in order of falling intensity (2θ from 15° to 90°):
- d 3.145, intensity 1000
- d 3.010, intensity 960
- d 2.649, intensity 759
- d 2.660, intensity 535
- d 2.815, intensity 496
- d 2.844, intensity 384

Structure:
```
13
Lattice="6.636 0.000 0.000 0.000 11.374 0.000 -2.880 0.000 6.019" Properties=species:S:1:pos:R:3 pbc="T T T"
Tb 0.000 2.300 0.000
Tb -1.440 3.221 3.009
Tb -1.440 8.154 3.009
Tb 0.000 9.074 0.000
Tb 3.318 3.017 0.000
Tb 3.318 8.358 0.000
Pr 1.878 5.687 3.009
Nd -1.414 5.687 5.367
Nd -0.753 0.000 4.614
Nd 1.878 1.855 3.009
Nd 1.878 9.519 3.009
Nd 4.509 0.000 1.405
Nd 5.170 5.687 0.652
```